[1]
The following is a calculated powder diffractogram of CuH2CS2N. It was derived from the GGA-PBE geometry in the Materials Project, using a wavelength of 1.5418 Å.
Peak positions follow from Bragg's law for the DFT cell and can differ from measured ones.

Main lines, most intense first (5 to 70 degrees two-theta):
Position (°2θ)	I (rel.)	(hkl)
15.9	100.0	0 1 1
27.2	44.5	1 1 2
21.9	30.1	1 1 1
35.6	21.8	1 2 2
41.3	21.4	2 2 1
30.2	20.6	1 2 0
57.0	19.9	3 2 2
49.6	19.6	3 0 2
34.4	17.0	1 1 3
50.6	16.9	2 1 4

```
CuH2CS2N
1.0
5.961 0.000 0.000
0.000 6.813 0.000
0.000 0.000 9.611
Cu H C S N
4 8 4 8 4
direct
0.094 0.240 0.130
0.406 0.760 0.630
0.594 0.260 0.870
0.906 0.740 0.370
0.099 0.054 0.589
0.157 0.629 0.840
0.343 0.371 0.340
0.401 0.946 0.089
0.599 0.446 0.411
0.657 0.871 0.160
0.843 0.129 0.660
0.901 0.554 0.911
0.087 0.062 0.802
0.413 0.938 0.302
0.587 0.438 0.198
0.913 0.562 0.698
0.086 0.608 0.558
0.139 0.022 0.321
0.361 0.978 0.821
0.414 0.392 0.058
0.586 0.892 0.442
0.639 0.478 0.679
0.861 0.522 0.179
0.914 0.108 0.942
0.003 0.082 0.675
0.497 0.918 0.175
0.503 0.418 0.325
0.997 0.582 0.825
```



[2]
The following is a calculated powder diffractogram of Na2CuH4C4O10. It was derived from the GGA-PBE geometry in the Materials Project, using a wavelength of 1.5418 Å.
Peak positions follow from Bragg's law for the DFT cell and can differ from measured ones.

Main lines, most intense first (5 to 70 degrees two-theta):
Position (°2θ)	I (rel.)	(hkl)
13.5	100.0	0 1 -1
12.5	90.6	0 1 0
31.8	53.0	1 -2 1
24.3	26.8	0 2 -1
18.0	22.3	0 1 1
29.1	19.9	1 0 -2
43.7	19.0	1 1 -4
36.3	18.5	1 1 1
38.2	18.1	0 3 0
39.7	16.2	1 -3 1

```
Na2CuH4C4O10
1.0
3.608 0.000 0.000
-1.804 7.377 0.000
-1.371 -2.720 9.065
Na Cu H C O
2 1 4 4 10
direct
0.011 0.201 0.427
0.989 0.799 0.573
0.000 0.500 0.000
0.031 0.971 0.192
0.351 0.176 0.172
0.649 0.824 0.828
0.969 0.029 0.808
0.237 0.472 0.745
0.260 0.720 0.276
0.740 0.280 0.724
0.763 0.528 0.255
0.313 0.103 0.243
0.424 0.499 0.643
0.426 0.735 0.163
0.430 0.593 0.875
0.470 0.845 0.396
0.530 0.155 0.604
0.570 0.407 0.125
0.574 0.265 0.837
0.576 0.501 0.357
0.687 0.897 0.757
```